Tb2SmIn3AgPt2: simulated powder X-ray diffraction pattern (Cu Kα (λ = 1.5418 Å)), based on the PBE geometry in OQMD.
Lines closer than 0.1° are merged.

Peak list (12 most intense, 5° ≤ 2θ ≤ 70°, sorted by position)
d [Å], 2θ/deg, intensity
6.802, 13.01, 9
2.745, 32.62, 100
2.570, 34.91, 44
2.546, 35.26, 97
2.267, 39.77, 53
2.136, 42.31, 28
1.920, 47.34, 24
1.887, 48.22, 10
1.538, 60.15, 18
1.465, 63.50, 26
1.446, 64.42, 23
1.444, 64.56, 11

Structural model:
```
Tb2SmIn3AgPt2
1.0
3.840 0.000 0.000
0.000 6.811 3.920
0.000 -6.811 3.920
Tb Sm In Ag Pt
2 1 3 1 2
Direct
0.000 0.206 0.794
0.000 0.794 0.206
0.000 0.617 0.617
0.500 0.205 0.472
0.500 0.472 0.205
0.500 0.939 0.939
0.000 0.205 0.205
0.500 0.538 0.875
0.500 0.875 0.538
```

=====

Y3In3Ag2Pt: simulated powder X-ray diffraction pattern (Cu Kα (λ = 1.5418 Å)), based on the PBE geometry in OQMD.
Lines closer than 0.1° are merged.

Peak list (12 most intense, 5° ≤ 2θ ≤ 70°, sorted by position)
d [Å], 2θ/deg, intensity
6.701, 13.21, 26
3.869, 22.99, 14
3.414, 26.10, 14
2.770, 32.32, 79
2.560, 35.05, 100
2.533, 35.44, 36
2.234, 40.38, 57
2.135, 42.34, 63
1.984, 45.73, 27
1.562, 59.15, 15
1.483, 62.63, 30
1.433, 65.07, 40

Structural model:
```
Y3In3Ag2Pt
1.0
7.738 0.000 0.000
-3.869 6.701 0.000
0.000 0.000 3.968
Y In Ag Pt
3 3 2 1
Direct
0.000 0.397 0.000
0.397 0.000 0.000
0.603 0.603 0.000
0.000 0.742 0.500
0.258 0.258 0.500
0.742 0.000 0.500
0.333 0.667 0.500
0.667 0.333 0.500
0.000 0.000 0.000
```

=====

RbTl3In3Ag4: simulated powder X-ray diffraction pattern (Cu Kα (λ = 1.5418 Å)), based on the PBE geometry in OQMD.
Lines closer than 0.1° are merged.

Peak list (12 most intense, 5° ≤ 2θ ≤ 70°, sorted by position)
d [Å], 2θ/deg, intensity
7.233, 12.24, 23
3.115, 28.66, 18
2.861, 31.27, 100
2.734, 32.76, 41
2.360, 38.13, 67
2.338, 38.50, 33
2.143, 42.17, 16
2.088, 43.34, 21
1.777, 51.43, 23
1.557, 59.34, 17
1.382, 67.82, 19
1.354, 69.43, 18

Structural model:
```
RbTl3In3Ag4
1.0
8.351 0.000 0.000
-4.176 7.233 0.000
0.000 0.000 4.676
Rb Tl In Ag
1 3 3 4
Direct
0.000 0.000 0.000
0.391 0.195 0.500
0.805 0.195 0.500
0.805 0.609 0.500
0.071 0.536 0.000
0.464 0.536 0.000
0.464 0.929 0.000
0.216 0.431 0.500
0.216 0.784 0.500
0.569 0.784 0.500
0.667 0.333 0.000
```

=====

InAgSeS: simulated powder X-ray diffraction pattern (Cu Kα (λ = 1.5418 Å)), based on the PBE geometry in OQMD.
Lines closer than 0.1° are merged.

Peak list (12 most intense, 5° ≤ 2θ ≤ 70°, sorted by position)
d [Å], 2θ/deg, intensity
3.487, 25.55, 49
3.465, 25.71, 100
3.444, 25.87, 51
3.034, 29.44, 14
2.145, 42.12, 45
2.120, 42.64, 44
2.101, 43.05, 43
1.829, 49.86, 31
1.820, 50.13, 29
1.791, 51.00, 8
1.782, 51.27, 15
1.517, 61.09, 14

Structural model:
```
InAgSeS
1.0
8.582 0.000 0.000
0.000 8.582 0.000
-4.216 0.000 5.877
In Ag Se S
4 4 4 4
Direct
0.000 0.119 0.000
0.000 0.881 0.500
0.500 0.381 0.500
0.500 0.619 0.000
0.017 0.364 0.500
0.017 0.636 0.000
0.517 0.136 0.000
0.517 0.864 0.500
0.377 0.126 0.250
0.377 0.874 0.750
0.877 0.374 0.750
0.877 0.626 0.250
0.384 0.381 0.750
0.384 0.619 0.250
0.884 0.119 0.250
0.884 0.881 0.750
```

=====

In2Ag2Se3S: simulated powder X-ray diffraction pattern (Cu Kα (λ = 1.5418 Å)), based on the PBE geometry in OQMD.
Lines closer than 0.1° are merged.

Peak list (12 most intense, 5° ≤ 2θ ≤ 70°, sorted by position)
d [Å], 2θ/deg, intensity
3.518, 25.32, 95
3.494, 25.49, 100
2.168, 41.67, 47
2.141, 42.20, 68
2.123, 42.59, 23
1.848, 49.32, 30
1.845, 49.40, 15
1.835, 49.70, 14
1.811, 50.39, 14
1.801, 50.68, 14
1.537, 60.19, 7
1.392, 67.26, 10

Structural model:
```
In2Ag2Se3S
1.0
13.341 0.000 0.000
0.000 6.149 0.000
-2.746 0.000 5.462
In Ag Se S
4 4 6 2
Direct
0.124 0.000 0.378
0.376 0.500 0.622
0.624 0.500 0.378
0.876 0.000 0.622
0.119 0.483 0.857
0.381 0.983 0.143
0.619 0.983 0.857
0.881 0.483 0.143
0.000 0.752 0.000
0.250 0.247 0.251
0.250 0.747 0.749
0.500 0.252 0.000
0.750 0.247 0.749
0.750 0.747 0.251
0.000 0.231 0.500
0.500 0.731 0.500
```

=====

InAgSeS: simulated powder X-ray diffraction pattern (Cu Kα (λ = 1.5418 Å)), based on the PBE geometry in OQMD.
Lines closer than 0.1° are merged.

Peak list (12 most intense, 5° ≤ 2θ ≤ 70°, sorted by position)
d [Å], 2θ/deg, intensity
3.465, 25.71, 100
3.052, 29.26, 4
2.142, 42.20, 23
2.120, 42.66, 22
2.104, 42.98, 21
1.832, 49.78, 16
1.812, 50.36, 15
1.785, 51.16, 13
1.526, 60.69, 4
1.388, 67.50, 6
1.376, 68.17, 5
1.367, 68.65, 5

Structural model:
```
InAgSeS
1.0
6.012 0.000 0.000
0.000 6.104 0.000
0.000 0.000 11.785
In Ag Se S
4 4 4 4
Direct
0.000 0.250 0.123
0.000 0.750 0.377
0.500 0.250 0.877
0.500 0.750 0.623
0.000 0.250 0.612
0.000 0.750 0.888
0.500 0.250 0.388
0.500 0.750 0.112
0.246 0.500 0.750
0.254 0.500 0.250
0.746 0.000 0.250
0.754 0.000 0.750
0.250 0.016 0.000
0.250 0.984 0.500
0.750 0.484 0.000
0.750 0.516 0.500
```

=====

TaInAgSeS2: simulated powder X-ray diffraction pattern (Cu Kα (λ = 1.5418 Å)), based on the PBE geometry in OQMD.
Lines closer than 0.1° are merged.

Peak list (12 most intense, 5° ≤ 2θ ≤ 70°, sorted by position)
d [Å], 2θ/deg, intensity
7.985, 11.08, 31
4.263, 20.84, 75
2.912, 30.70, 100
2.818, 31.75, 17
2.662, 33.67, 20
2.521, 35.61, 43
2.132, 42.40, 54
1.906, 47.72, 60
1.856, 49.09, 22
1.830, 49.82, 14
1.739, 52.62, 13
1.432, 65.16, 13

Structural model:
```
TaInAgSeS2
1.0
1.739 -7.985 0.000
1.739 7.985 0.000
0.000 0.000 10.083
Ta In Ag Se S
2 2 2 2 4
Direct
0.000 0.000 0.000
0.000 0.000 0.500
0.324 0.676 0.750
0.676 0.324 0.250
0.317 0.683 0.250
0.683 0.317 0.750
0.036 0.964 0.250
0.964 0.036 0.750
0.391 0.609 0.029
0.391 0.609 0.471
0.609 0.391 0.529
0.609 0.391 0.971
```

=====

InAgTeS: simulated powder X-ray diffraction pattern (Cu Kα (λ = 1.5418 Å)), based on the PBE geometry in OQMD.
Lines closer than 0.1° are merged.

Peak list (12 most intense, 5° ≤ 2θ ≤ 70°, sorted by position)
d [Å], 2θ/deg, intensity
4.422, 20.08, 9
3.581, 24.86, 100
2.805, 31.90, 7
2.762, 32.42, 6
2.512, 35.74, 8
2.211, 40.81, 26
2.195, 41.12, 23
2.174, 41.54, 22
1.895, 48.01, 16
1.868, 48.75, 15
1.849, 49.29, 12
1.433, 65.10, 6

Structural model:
```
InAgTeS
1.0
6.193 0.000 0.000
0.000 6.317 0.000
0.000 0.000 12.210
In Ag Te S
4 4 4 4
Direct
0.000 0.250 0.115
0.000 0.750 0.385
0.500 0.250 0.885
0.500 0.750 0.615
0.000 0.250 0.602
0.000 0.750 0.898
0.500 0.250 0.398
0.500 0.750 0.102
0.235 0.000 0.750
0.265 0.000 0.250
0.735 0.500 0.250
0.765 0.500 0.750
0.250 0.481 0.000
0.250 0.519 0.500
0.750 0.019 0.000
0.750 0.981 0.500
```

=====

ZrInAgTeS2: simulated powder X-ray diffraction pattern (Cu Kα (λ = 1.5418 Å)), based on the PBE geometry in OQMD.
Lines closer than 0.1° are merged.

Peak list (12 most intense, 5° ≤ 2θ ≤ 70°, sorted by position)
d [Å], 2θ/deg, intensity
7.508, 11.79, 44
5.417, 16.36, 42
2.928, 30.53, 100
2.708, 33.08, 45
2.652, 33.80, 58
2.439, 36.86, 17
2.326, 38.71, 36
2.272, 39.67, 16
2.166, 41.70, 16
1.915, 47.48, 18
1.765, 51.81, 27
1.564, 59.08, 16

Structural model:
```
ZrInAgTeS2
1.0
1.915 -7.508 0.000
1.915 7.508 0.000
0.000 0.000 10.833
Zr In Ag Te S
2 2 2 2 4
Direct
0.000 0.000 0.000
0.000 0.000 0.500
0.223 0.777 0.750
0.777 0.223 0.250
0.456 0.544 0.250
0.544 0.456 0.750
0.093 0.907 0.250
0.907 0.093 0.750
0.385 0.615 0.043
0.385 0.615 0.457
0.615 0.385 0.543
0.615 0.385 0.957
```

=====

TbInAg3Se4: simulated powder X-ray diffraction pattern (Cu Kα (λ = 1.5418 Å)), based on the PBE geometry in OQMD.
Lines closer than 0.1° are merged.

Peak list (12 most intense, 5° ≤ 2θ ≤ 70°, sorted by position)
d [Å], 2θ/deg, intensity
6.377, 13.89, 20
4.509, 19.69, 19
3.682, 24.17, 56
3.188, 27.98, 13
2.852, 31.37, 10
2.603, 34.45, 9
2.255, 39.99, 100
2.126, 42.53, 6
1.923, 47.28, 26
1.704, 53.79, 5
1.594, 57.84, 16
1.463, 63.60, 10

Structural model:
```
TbInAg3Se4
1.0
6.377 0.000 0.000
0.000 6.377 0.000
0.000 0.000 6.377
Tb In Ag Se
1 1 3 4
Direct
0.000 0.000 0.000
0.500 0.500 0.500
0.000 0.000 0.500
0.000 0.500 0.000
0.500 0.000 0.000
0.247 0.247 0.753
0.247 0.753 0.247
0.753 0.247 0.247
0.753 0.753 0.753
```

=====

TbInAg3Se4: simulated powder X-ray diffraction pattern (Cu Kα (λ = 1.5418 Å)), based on the PBE geometry in OQMD.
Lines closer than 0.1° are merged.

Peak list (12 most intense, 5° ≤ 2θ ≤ 70°, sorted by position)
d [Å], 2θ/deg, intensity
9.988, 8.85, 95
6.049, 14.64, 90
3.552, 25.07, 65
3.214, 27.76, 59
3.049, 29.29, 53
2.965, 30.15, 50
2.799, 31.98, 57
2.624, 34.18, 94
2.435, 36.91, 67
2.336, 38.54, 51
2.193, 41.16, 67
2.158, 41.86, 100

Structural model:
```
TbInAg3Se4
1.0
6.263 0.000 0.000
0.000 7.602 0.000
-2.863 0.000 9.988
Tb In Ag Se
2 2 6 8
Direct
0.093 0.250 0.300
0.907 0.750 0.700
0.196 0.250 0.912
0.804 0.750 0.088
0.298 0.558 0.536
0.298 0.942 0.536
0.462 0.750 0.804
0.538 0.250 0.196
0.702 0.058 0.464
0.702 0.442 0.464
0.063 0.250 0.569
0.200 0.750 0.951
0.353 0.529 0.270
0.353 0.971 0.270
0.647 0.029 0.730
0.647 0.471 0.730
0.800 0.250 0.049
0.937 0.750 0.431
```

=====

In2Ag2TeSe3: simulated powder X-ray diffraction pattern (Cu Kα (λ = 1.5418 Å)), based on the PBE geometry in OQMD.
Lines closer than 0.1° are merged.

Peak list (12 most intense, 5° ≤ 2θ ≤ 70°, sorted by position)
d [Å], 2θ/deg, intensity
3.586, 24.83, 100
3.571, 24.93, 97
2.215, 40.74, 51
2.188, 41.26, 25
2.178, 41.46, 73
1.888, 48.21, 15
1.882, 48.37, 46
1.844, 49.41, 14
1.838, 49.58, 15
1.567, 58.93, 8
1.565, 59.04, 8
1.413, 66.12, 11

Structural model:
```
In2Ag2TeSe3
1.0
13.637 0.000 0.000
0.000 6.259 0.000
-2.848 0.000 5.585
In Ag Te Se
4 4 2 6
Direct
0.129 0.000 0.390
0.371 0.500 0.610
0.629 0.500 0.390
0.871 0.000 0.610
0.129 0.480 0.870
0.371 0.980 0.130
0.629 0.980 0.870
0.871 0.480 0.130
0.000 0.737 0.000
0.500 0.237 0.000
0.000 0.239 0.500
0.250 0.240 0.254
0.250 0.740 0.746
0.500 0.739 0.500
0.750 0.240 0.746
0.750 0.740 0.254
```

=====

InAgSn2: simulated powder X-ray diffraction pattern (Cu Kα (λ = 1.5418 Å)), based on the PBE geometry in OQMD.
Lines closer than 0.1° are merged.

Peak list (3 most intense, 5° ≤ 2θ ≤ 70°, sorted by position)
d [Å], 2θ/deg, intensity
2.606, 34.42, 100
1.843, 49.47, 18
1.504, 61.65, 37

Structural model:
```
InAgSn2
1.0
7.370 0.000 0.000
0.000 7.370 0.000
0.000 0.000 7.370
In Ag Sn
4 4 8
Direct
0.000 0.000 0.000
0.000 0.500 0.500
0.500 0.000 0.500
0.500 0.500 0.000
0.250 0.250 0.250
0.250 0.750 0.750
0.750 0.250 0.750
0.750 0.750 0.250
0.000 0.000 0.500
0.000 0.500 0.000
0.250 0.250 0.750
0.250 0.750 0.250
0.500 0.000 0.000
0.500 0.500 0.500
0.750 0.250 0.250
0.750 0.750 0.750
```

=====

TbInAg3Te4: simulated powder X-ray diffraction pattern (Cu Kα (λ = 1.5418 Å)), based on the PBE geometry in OQMD.
Lines closer than 0.1° are merged.

Peak list (12 most intense, 5° ≤ 2θ ≤ 70°, sorted by position)
d [Å], 2θ/deg, intensity
10.485, 8.43, 61
6.434, 13.76, 34
3.797, 23.43, 32
3.388, 26.31, 100
2.866, 31.21, 32
2.724, 32.88, 57
2.563, 35.01, 46
2.482, 36.19, 31
2.273, 39.65, 64
2.257, 39.94, 58
2.144, 42.14, 29
2.037, 44.47, 29

Structural model:
```
TbInAg3Te4
1.0
6.380 0.000 0.000
0.000 8.148 0.000
-3.069 0.000 10.485
Tb In Ag Te
2 2 6 8
Direct
0.088 0.250 0.310
0.912 0.750 0.690
0.234 0.250 0.937
0.766 0.750 0.063
0.295 0.561 0.528
0.295 0.939 0.528
0.445 0.750 0.776
0.555 0.250 0.224
0.705 0.061 0.472
0.705 0.439 0.472
0.080 0.250 0.587
0.214 0.750 0.952
0.349 0.532 0.266
0.349 0.968 0.266
0.651 0.032 0.734
0.651 0.468 0.734
0.786 0.250 0.048
0.920 0.750 0.413
```